Starting from a GGA+U-relaxed structure, the PXRD pattern of Li2Cr4Si4O13 was calculated for CuKα.

Largest 10 diffraction maxima, sorted by position, 2θ = 10–90°:
2θ = 12.0°, I 352
2θ = 24.1°, I 213
2θ = 26.8°, I 200
2θ = 27.2°, I 747
2θ = 30.4°, I 504
2θ = 30.6°, I 1000
2θ = 32.6°, I 572
2θ = 33.2°, I 383
2θ = 34.7°, I 326
2θ = 52.9°, I 407

Atomic structure:
Cell lengths 6.940, 7.873, 10.341 Å; angles 71.93, 88.28, 80.20 degrees
Space group P-1 (No. 2)
Unique sites:
1 Li 0.221 0.098 0.389 [2 per cell]
2 Li 0.248 0.090 0.912 [2 per cell]
3 Cr 0.069 0.715 0.876 [2 per cell]
4 Cr 0.082 0.687 0.497 [2 per cell]
5 Cr 0.428 0.289 0.120 [2 per cell]
6 Cr 0.433 0.311 0.493 [2 per cell]
7 Si 0.072 0.584 0.219 [2 per cell]
8 Si 0.277 0.925 0.667 [2 per cell]
9 Si 0.281 0.892 0.202 [2 per cell]
10 Si 0.377 0.408 0.777 [2 per cell]
11 O 0.097 0.818 0.646 [2 per cell]
12 O 0.114 0.503 0.382 [2 per cell]
13 O 0.137 0.783 0.144 [2 per cell]
14 O 0.144 0.446 0.130 [2 per cell]
15 O 0.162 0.350 0.810 [2 per cell]
16 O 0.230 0.138 0.574 [2 per cell]
17 O 0.237 0.105 0.109 [2 per cell]
18 O 0.258 0.857 0.364 [2 per cell]
19 O 0.273 0.891 0.837 [2 per cell]
20 O 0.400 0.528 0.875 [2 per cell]
21 O 0.402 0.489 0.614 [2 per cell]
22 O 0.499 0.803 0.163 [2 per cell]
23 O 0.500 0.168 0.359 [2 per cell]

***

Starting from a GGA+U-relaxed structure, the PXRD pattern of NiH6S2O12 was calculated for CuKα.

Largest 10 diffraction maxima, sorted by position, 2θ = 10–90°:
2θ = 12.0°, I 155
2θ = 17.4°, I 1000
2θ = 18.0°, I 211
2θ = 19.5°, I 378
2θ = 20.1°, I 228
2θ = 24.2°, I 368
2θ = 26.1°, I 98
2θ = 27.9°, I 213
2θ = 36.6°, I 115
2θ = 37.6°, I 89

Atomic structure:
Cell lengths 6.868, 7.067, 7.655 Å; angles 74.21, 89.76, 83.60 degrees
Space group P-1 (No. 2)
Unique sites:
1 Ni 0.000 0.000 0.000 [1 per cell]
2 H 0.067 0.665 0.159 [2 per cell]
3 H 0.131 0.150 0.257 [2 per cell]
4 H 0.186 0.929 0.365 [2 per cell]
5 S 0.492 0.573 0.695 [2 per cell]
6 O 0.035 0.269 0.933 [2 per cell]
7 O 0.091 0.017 0.278 [2 per cell]
8 O 0.230 0.886 0.959 [2 per cell]
9 O 0.307 0.390 0.292 [2 per cell]
10 O 0.351 0.728 0.591 [2 per cell]
11 O 0.437 0.379 0.775 [2 per cell]

***

Starting from a GGA+U-relaxed structure, the PXRD pattern of MnOF was calculated for CuKα.

Largest 10 diffraction maxima, sorted by position, 2θ = 10–90°:
2θ = 13.3°, I 1000
2θ = 26.9°, I 659
2θ = 30.7°, I 185
2θ = 35.9°, I 60
2θ = 38.9°, I 537
2θ = 47.6°, I 168
2θ = 49.7°, I 56
2θ = 55.8°, I 193
2θ = 63.1°, I 170
2θ = 75.9°, I 68

Atomic structure:
Cell lengths 3.817, 3.241, 13.272 Å; angles 90.00, 90.07, 90.00 degrees
Space group P2_1 (No. 4)
Unique sites:
1 Mn 0.249 0.000 0.178 [2 per cell]
2 Mn 0.250 0.128 0.678 [2 per cell]
3 O 0.250 0.600 0.288 [2 per cell]
4 O 0.251 0.527 0.788 [2 per cell]
5 F 0.249 0.451 0.086 [2 per cell]
6 F 0.250 0.677 0.587 [2 per cell]

***

Starting from a GGA+U-relaxed structure, the PXRD pattern of Li4Ti3Ni3Sb2O16 was calculated for CuKα.

Largest 10 diffraction maxima, sorted by position, 2θ = 10–90°:
2θ = 19.4°, I 925
2θ = 19.5°, I 1000
2θ = 25.1°, I 261
2θ = 25.2°, I 248
2θ = 32.7°, I 343
2θ = 35.1°, I 312
2θ = 35.4°, I 649
2θ = 35.9°, I 504
2θ = 59.7°, I 266
2θ = 62.0°, I 299

Atomic structure:
Cell lengths 10.381, 5.965, 9.705 Å; angles 90.00, 90.60, 90.00 degrees
Space group Cm (No. 8)
Unique sites:
1 Li 0.000 0.000 0.000 [2 per cell]
2 Li 0.007 0.000 0.514 [2 per cell]
3 Li 0.167 0.500 0.088 [2 per cell]
4 Li 0.336 0.000 0.600 [2 per cell]
5 Ti 0.326 0.500 0.778 [2 per cell]
6 Ti 0.412 0.247 0.281 [4 per cell]
7 Ni 0.085 0.257 0.784 [4 per cell]
8 Ni 0.171 0.000 0.284 [2 per cell]
9 Sb 0.157 0.500 0.513 [2 per cell]
10 Sb 0.327 0.000 0.001 [2 per cell]
11 O 0.016 0.500 0.647 [2 per cell]
12 O 0.077 0.253 0.396 [4 per cell]
13 O 0.162 0.000 0.907 [2 per cell]
14 O 0.180 0.500 0.892 [2 per cell]
15 O 0.246 0.281 0.642 [4 per cell]
16 O 0.267 0.225 0.153 [4 per cell]
17 O 0.327 0.500 0.390 [2 per cell]
18 O 0.346 0.000 0.390 [2 per cell]
19 O 0.410 0.249 0.900 [4 per cell]
20 O 0.479 0.000 0.156 [2 per cell]
21 O 0.491 0.500 0.698 [2 per cell]
22 O 0.494 0.500 0.192 [2 per cell]

***

Starting from a GGA+U-relaxed structure, the PXRD pattern of MnOF was calculated for CuKα.

Largest 10 diffraction maxima, sorted by position, 2θ = 10–90°:
2θ = 22.2°, I 709
2θ = 22.4°, I 730
2θ = 25.2°, I 1000
2θ = 38.0°, I 349
2θ = 41.1°, I 488
2θ = 47.8°, I 297
2θ = 48.8°, I 147
2θ = 52.5°, I 157
2θ = 52.9°, I 148
2θ = 62.6°, I 133

Atomic structure:
Cell lengths 3.807, 4.393, 5.533 Å; angles 112.78, 110.11, 90.17 degrees
Space group P-1 (No. 2)
Unique sites:
1 Mn 0.134 0.384 0.268 [2 per cell]
2 O 0.335 0.597 0.669 [2 per cell]
3 F 0.074 0.822 0.148 [2 per cell]